Entry 1:
Starting from a GGA-PBE-relaxed structure, the powder XRD pattern of PuMgS was simulated for CuKα.
No peak broadening, texture or thermal motion is included.

Main lines, by angle (2θ = 10–80°):
index	2θ (°)	d [Å]	Rel. int.
0 0 3	10.69	8.274	100.0
0 0 6	21.48	4.137	22.2
0 1 2	25.29	3.522	22.5
1 0 4	28.23	3.161	11.3
0 0 9	32.46	2.758	16.6
1 0 7	35.18	2.551	10.6
1 1 0	42.63	2.121	23.9
1 1 3	44.08	2.054	23.5
1 1 6	48.22	1.887	17.0
1 1 9	54.59	1.681	23.1

```
data_PuMgS
_chemical_formula_sum 'Pu6 Mg6 S6'
_cell_length_a 4.2414
_cell_length_b 4.2414
_cell_length_c 24.8221
_cell_angle_alpha 90.00
_cell_angle_beta 90.00
_cell_angle_gamma 120.00
_space_group_name_H-M_alt 'R -3 m'
_space_group_IT_number 166
_space_group_name_Hall '-R 3 2"'
loop_
_atom_site_label
_atom_site_type_symbol
_atom_site_fract_x
_atom_site_fract_y
_atom_site_fract_z
_atom_site_occupancy
Pu1 Pu 0.0000 0.0000 0.1666 1
Mg1 Mg 0.0000 0.0000 0.3928 1
S1 S 0.0000 0.0000 0.2811 1
```

---

Entry 2:
Starting from a GGA-PBE-relaxed structure, the powder XRD pattern of Pu2Mg2Sb3 was simulated for CuKα.
No peak broadening, texture or thermal motion is included.

Main lines, by angle (2θ = 10–80°):
index	2θ (°)	d [Å]	Rel. int.
2 0 -1	11.11	7.966	48.1
2 0 2	26.64	3.346	28.5
1 1 2	28.90	3.089	94.1
4 0 -4	29.22	3.057	32.7
3 1 -3	29.38	3.040	37.4
3 1 1	32.40	2.763	100.0
6 0 -3	33.76	2.655	35.0
5 1 -2	34.27	2.617	61.7
3 1 -4	34.37	2.609	83.1
0 2 0	39.49	2.282	55.7

```
data_Pu2Mg2Sb3
_chemical_formula_sum 'Pu8 Mg8 Sb12'
_cell_length_a 15.9963
_cell_length_b 4.5641
_cell_length_c 12.7375
_cell_angle_alpha 90.00
_cell_angle_beta 123.57
_cell_angle_gamma 90.00
_space_group_name_H-M_alt 'C 1 2/m 1'
_space_group_IT_number 12
loop_
_space_group_symop_operation_xyz
'x,y,z'
'-x,-y,-z'
'-x,y,-z'
'x,-y,z'
'x+1/2,y+1/2,z'
'-x+1/2,-y+1/2,-z'
'-x+1/2,y+1/2,-z'
'x+1/2,-y+1/2,z'
loop_
_atom_site_label
_atom_site_type_symbol
_atom_site_fract_x
_atom_site_fract_y
_atom_site_fract_z
_atom_site_occupancy
Pu1 Pu 0.0808 0.0000 0.4474 1
Pu2 Pu 0.2369 0.0000 0.8313 1
Mg1 Mg 0.0493 0.5000 0.8182 1
Mg2 Mg 0.0978 0.0000 0.1788 1
Sb1 Sb 0.1093 0.5000 0.6467 1
Sb2 Sb 0.1261 0.0000 0.9760 1
Sb3 Sb 0.1693 0.5000 0.3425 1
```

---

Entry 3:
Starting from a GGA-PBE-relaxed structure, the powder XRD pattern of PuMgSc6 was simulated for CuKα.
No peak broadening, texture or thermal motion is included.

Main lines, by angle (2θ = 10–80°):
index	2θ (°)	d [Å]	Rel. int.
1 0 0	19.22	4.618	19.2
1 0 1	21.58	4.118	46.1
1 0 2	27.52	3.241	16.9
1 1 1	29.05	3.074	21.6
1 1 2	33.78	2.653	100.0
2 0 0	39.01	2.309	33.3
0 0 4	39.61	2.275	15.9
2 1 1	45.01	2.014	14.3
2 0 4	56.81	1.621	21.3
3 1 2	67.34	1.391	25.0

```
data_PuMgSc6
_chemical_formula_sum 'Pu1 Mg1 Sc6'
_cell_length_a 4.6182
_cell_length_b 4.6182
_cell_length_c 9.1011
_cell_angle_alpha 90.00
_cell_angle_beta 90.00
_cell_angle_gamma 90.00
_space_group_name_H-M_alt 'P 4/m m m'
_space_group_IT_number 123
_space_group_name_Hall '-P 4 2'
loop_
_atom_site_label
_atom_site_type_symbol
_atom_site_fract_x
_atom_site_fract_y
_atom_site_fract_z
_atom_site_occupancy
Pu1 Pu 0.0000 0.0000 0.0000 1
Mg1 Mg 0.0000 0.0000 0.5000 1
Sc1 Sc 0.0000 0.5000 0.2460 1
Sc2 Sc 0.5000 0.5000 0.0000 1
Sc3 Sc 0.5000 0.5000 0.5000 1
```

---

Which formula does entry 3 have?
PuMgSc6